(1)
Diffraction record for Li2MnV3O8. The XRD peak list is simulated, not measured: it uses DFT lattice parameters and positions (GGA+U) and λ = 1.5418 Å (Cu Kα).

Crystal structure
```
Li2MnV3O8
1.0
5.230 -2.985 0.000
5.230 2.985 0.000
-3.397 0.000 9.774
Li Mn V O
4 2 6 16
direct
0.243 0.757 0.500 Li
0.328 0.814 0.190 Li
0.757 0.243 0.000 Li
0.814 0.328 0.690 Li
0.381 0.893 0.880 Mn
0.893 0.381 0.380 Mn
0.063 0.575 0.943 V
0.314 0.331 0.686 V
0.331 0.314 0.186 V
0.575 0.063 0.443 V
0.801 0.835 0.692 V
0.835 0.801 0.192 V
0.167 0.683 0.294 O
0.168 0.687 0.809 O
0.193 0.244 0.813 O
0.244 0.193 0.313 O
0.418 0.430 0.072 O
0.430 0.418 0.572 O
0.448 0.967 0.570 O
0.482 0.946 0.088 O
0.683 0.167 0.794 O
0.687 0.168 0.309 O
0.688 0.732 0.314 O
0.732 0.688 0.814 O
0.889 0.962 0.558 O
0.946 0.482 0.588 O
0.962 0.889 0.058 O
0.967 0.448 0.070 O
```

Most intense lines, 2θ from 15° to 90°, in order of rising 2θ:
2θ 17.96, I = 100; 2θ 20.95, I = 48; 2θ 29.66, I = 48; 2θ 35.12, I = 55; 2θ 35.23, I = 83; 2θ 42.64, I = 62

---

(2)
Diffraction record for Li4Mn3V3W2O16. The XRD peak list is simulated, not measured: it uses DFT lattice parameters and positions (GGA+U) and λ = 1.5418 Å (Cu Kα).

Crystal structure
```
Li4Mn3V3W2O16
1.0
5.275 -3.055 0.000
5.275 3.055 0.000
-0.207 0.000 9.834
Li Mn V W O
4 3 3 2 16
direct
0.000 0.000 0.000 Li
0.004 0.004 0.501 Li
0.321 0.321 0.918 Li
0.654 0.654 0.423 Li
0.163 0.655 0.221 Mn
0.655 0.163 0.221 Mn
0.825 0.825 0.722 Mn
0.168 0.168 0.238 V
0.338 0.830 0.731 V
0.830 0.338 0.731 V
0.332 0.332 0.503 W
0.659 0.659 0.001 W
0.001 0.001 0.813 O
0.008 0.008 0.311 O
0.034 0.455 0.368 O
0.175 0.175 0.609 O
0.175 0.651 0.598 O
0.303 0.303 0.123 O
0.348 0.824 0.103 O
0.455 0.034 0.368 O
0.467 0.467 0.370 O
0.504 0.948 0.866 O
0.514 0.514 0.865 O
0.648 0.648 0.623 O
0.651 0.175 0.598 O
0.822 0.822 0.090 O
0.824 0.348 0.103 O
0.948 0.504 0.866 O
```

Most intense lines, 2θ from 15° to 90°, in order of rising 2θ:
2θ 18.96, I = 100; 2θ 19.14, I = 64; 2θ 19.26, I = 33; 2θ 34.34, I = 27; 2θ 34.57, I = 28; 2θ 34.92, I = 29

---

(3)
Diffraction record for Li2Mn3WO8. The XRD peak list is simulated, not measured: it uses DFT lattice parameters and positions (GGA+U) and λ = 1.5418 Å (Cu Kα).

Crystal structure
```
Li2Mn3WO8
1.0
8.521 0.000 0.000
0.000 8.522 0.000
0.000 0.000 9.116
Li Mn W O
8 12 4 32
direct
0.000 0.010 0.002 Li
0.000 0.510 0.498 Li
0.244 0.251 0.253 Li
0.256 0.749 0.753 Li
0.500 0.490 0.998 Li
0.500 0.990 0.502 Li
0.744 0.249 0.747 Li
0.756 0.751 0.247 Li
0.119 0.370 0.878 Mn
0.129 0.863 0.375 Mn
0.130 0.604 0.134 Mn
0.370 0.396 0.634 Mn
0.371 0.137 0.875 Mn
0.381 0.630 0.378 Mn
0.619 0.130 0.122 Mn
0.629 0.637 0.625 Mn
0.630 0.896 0.866 Mn
0.870 0.104 0.366 Mn
0.871 0.363 0.125 Mn
0.881 0.870 0.622 Mn
0.129 0.124 0.617 W
0.371 0.876 0.117 W
0.629 0.376 0.383 W
0.871 0.624 0.883 W
0.094 0.362 0.115 O
0.105 0.602 0.878 O
0.114 0.891 0.630 O
0.118 0.346 0.615 O
0.128 0.103 0.404 O
0.134 0.138 0.845 O
0.148 0.880 0.130 O
0.153 0.636 0.367 O
0.347 0.364 0.867 O
0.352 0.120 0.630 O
0.366 0.862 0.345 O
0.372 0.897 0.904 O
0.382 0.654 0.115 O
0.386 0.109 0.130 O
0.395 0.398 0.378 O
0.406 0.638 0.615 O
0.594 0.138 0.885 O
0.605 0.898 0.122 O
0.614 0.609 0.370 O
0.618 0.154 0.385 O
0.628 0.397 0.596 O
0.634 0.362 0.155 O
0.648 0.620 0.870 O
0.653 0.864 0.633 O
0.847 0.136 0.133 O
0.852 0.380 0.370 O
0.866 0.638 0.655 O
0.872 0.603 0.096 O
0.882 0.846 0.885 O
0.886 0.391 0.870 O
0.895 0.102 0.622 O
0.906 0.862 0.385 O
```

Most intense lines, 2θ from 15° to 90°, in order of rising 2θ:
2θ 17.64, I = 100; 2θ 33.02, I = 24; 2θ 34.71, I = 33; 2θ 35.72, I = 25; 2θ 42.43, I = 32; 2θ 59.38, I = 21

---

(4)
Diffraction record for Li2ZrMnO4. The XRD peak list is simulated, not measured: it uses DFT lattice parameters and positions (GGA+U) and λ = 1.5418 Å (Cu Kα).

Crystal structure
```
Li2ZrMnO4
1.0
-2.135 2.155 4.742
2.135 -2.155 4.742
2.135 2.155 -4.742
Li Zr Mn O
2 1 1 4
direct
0.000 0.000 0.000 Li
0.783 0.283 0.500 Li
0.537 0.537 0.000 Zr
0.281 0.781 0.500 Mn
0.038 0.538 0.500 O
0.318 0.318 0.000 O
0.531 0.031 0.500 O
0.763 0.763 0.000 O
```

Most intense lines, 2θ from 15° to 90°, in order of rising 2θ:
2θ 22.66, I = 93; 2θ 22.84, I = 100; 2θ 35.14, I = 70; 2θ 37.95, I = 49; 2θ 41.91, I = 40; 2θ 42.32, I = 38